# 1
This entry pairs a crystal structure of SiAg2HgSe2S2 with its calculated PXRD pattern. Radiation: a wavelength of 1.5418 Å. Structure: DFT lattice parameters and positions (GGA-PBE).

Top 6 peaks for 2θ from 15° to 90°, by intensity:
| two_theta | intensity |
| --- | --- |
| 26.62 | 100.0 |
| 26.29 | 82.1 |
| 43.80 | 75.5 |
| 51.83 | 36.6 |
| 17.01 | 33.3 |
| 27.45 | 25.2 |

Structural model:
```
data_SiAg2HgSe2S2
_symmetry_space_group_name_H-M 'F m m 2'
_symmetry_Int_Tables_number 42
_symmetry_space_group_name_Hall 'F 2 -2'
_cell_length_a 8.152
_cell_length_b 8.299
_cell_length_c 11.752
_cell_angle_alpha 90.00
_cell_angle_beta 90.00
_cell_angle_gamma 90.00
loop_
_atom_site_label
_atom_site_fract_x
_atom_site_fract_y
_atom_site_fract_z
_atom_site_occupancy
Si1 0.000 0.000 0.000 1
Ag1 0.250 0.250 0.271 1
Hg1 0.000 0.000 0.514 1
Se1 0.000 0.217 0.125 1
S1 0.215 0.000 0.893 1
```

# 2
This entry pairs a crystal structure of SiAg2HgSe2S2 with its calculated PXRD pattern. Radiation: a wavelength of 1.5418 Å. Structure: DFT lattice parameters and positions (GGA-PBE).

Top 6 peaks for 2θ from 15° to 90°, by intensity:
| two_theta | intensity |
| --- | --- |
| 26.49 | 100.0 |
| 43.84 | 21.8 |
| 35.46 | 21.6 |
| 17.05 | 21.5 |
| 43.79 | 20.3 |
| 44.20 | 19.0 |

Structural model:
```
data_SiAg2HgSe2S2
_symmetry_space_group_name_H-M 'C 1 2 1'
_symmetry_Int_Tables_number 5
_symmetry_space_group_name_Hall 'C 2y'
_cell_length_a 13.128
_cell_length_b 5.789
_cell_length_c 5.802
_cell_angle_alpha 90.00
_cell_angle_beta 116.11
_cell_angle_gamma 90.00
loop_
_atom_site_label
_atom_site_fract_x
_atom_site_fract_y
_atom_site_fract_z
_atom_site_occupancy
Si1 0.000 0.000 0.000 1
Ag1 0.250 0.483 0.215 1
Hg1 0.000 0.499 0.500 1
Se1 0.123 0.771 0.337 1
S1 0.108 0.205 0.890 1
```

# 3
This entry pairs a crystal structure of Ag2SnHgSeS3 with its calculated PXRD pattern. Radiation: a wavelength of 1.5418 Å. Structure: DFT lattice parameters and positions (GGA-PBE).

Top 6 peaks for 2θ from 15° to 90°, by intensity:
| two_theta | intensity |
| --- | --- |
| 26.06 | 100.0 |
| 25.92 | 51.6 |
| 25.76 | 49.2 |
| 42.74 | 41.0 |
| 42.95 | 40.3 |
| 30.29 | 27.3 |

Structural model:
```
data_Ag2SnHgSeS3
_symmetry_space_group_name_H-M 'C 1 m 1'
_symmetry_Int_Tables_number 8
_symmetry_space_group_name_Hall 'C -2y'
_cell_length_a 8.396
_cell_length_b 8.295
_cell_length_c 7.335
_cell_angle_alpha 90.00
_cell_angle_beta 124.54
_cell_angle_gamma 90.00
loop_
_atom_site_label
_atom_site_fract_x
_atom_site_fract_y
_atom_site_fract_z
_atom_site_occupancy
Ag1 0.000 0.238 0.000 1
Sn1 0.013 0.000 0.516 1
Hg1 0.003 0.500 0.513 1
Se1 0.140 0.500 0.257 1
S1 0.125 0.000 0.271 1
S2 0.132 0.237 0.760 1
```

# 4
This entry pairs a crystal structure of Ag2SnHgSe3S with its calculated PXRD pattern. Radiation: a wavelength of 1.5418 Å. Structure: DFT lattice parameters and positions (GGA-PBE).

Top 6 peaks for 2θ from 15° to 90°, by intensity:
| two_theta | intensity |
| --- | --- |
| 25.24 | 100.0 |
| 41.96 | 69.7 |
| 25.53 | 52.7 |
| 25.36 | 50.5 |
| 41.75 | 47.8 |
| 49.69 | 31.8 |

Structural model:
```
data_Ag2SnHgSe3S
_symmetry_space_group_name_H-M 'C 1 m 1'
_symmetry_Int_Tables_number 8
_symmetry_space_group_name_Hall 'C -2y'
_cell_length_a 8.515
_cell_length_b 8.617
_cell_length_c 7.456
_cell_angle_alpha 90.00
_cell_angle_beta 124.41
_cell_angle_gamma 90.00
loop_
_atom_site_label
_atom_site_fract_x
_atom_site_fract_y
_atom_site_fract_z
_atom_site_occupancy
Ag1 0.000 0.238 0.000 1
Sn1 0.498 0.500 0.484 1
Hg1 0.490 0.000 0.487 1
Se1 0.121 0.241 0.739 1
Se2 0.127 0.500 0.230 1
S1 0.112 0.000 0.244 1
```

# 5
This entry pairs a crystal structure of Ag2HgWSe3S with its calculated PXRD pattern. Radiation: a wavelength of 1.5418 Å. Structure: DFT lattice parameters and positions (GGA-PBE).

Top 6 peaks for 2θ from 15° to 90°, by intensity:
| two_theta | intensity |
| --- | --- |
| 25.84 | 100.0 |
| 26.03 | 53.8 |
| 38.90 | 51.6 |
| 25.68 | 48.3 |
| 44.49 | 38.5 |
| 47.14 | 38.3 |

Structural model:
```
data_Ag2HgWSe3S
_symmetry_space_group_name_H-M 'C 1 m 1'
_symmetry_Int_Tables_number 8
_symmetry_space_group_name_Hall 'C -2y'
_cell_length_a 9.255
_cell_length_b 9.266
_cell_length_c 6.887
_cell_angle_alpha 90.00
_cell_angle_beta 131.44
_cell_angle_gamma 90.00
loop_
_atom_site_label
_atom_site_fract_x
_atom_site_fract_y
_atom_site_fract_z
_atom_site_occupancy
Ag1 0.000 0.241 0.000 1
Hg1 0.491 0.000 0.488 1
W1 0.496 0.500 0.479 1
Se1 0.126 0.208 0.746 1
Se2 0.158 0.500 0.225 1
S1 0.072 0.000 0.235 1
```

# 6
This entry pairs a crystal structure of Ag2SnHgTeS3 with its calculated PXRD pattern. Radiation: a wavelength of 1.5418 Å. Structure: DFT lattice parameters and positions (GGA-PBE).

Top 6 peaks for 2θ from 15° to 90°, by intensity:
| two_theta | intensity |
| --- | --- |
| 25.78 | 100.0 |
| 42.00 | 68.6 |
| 25.42 | 57.0 |
| 25.17 | 53.9 |
| 42.33 | 43.8 |
| 49.66 | 23.7 |

Structural model:
```
data_Ag2SnHgTeS3
_symmetry_space_group_name_H-M 'C 1 m 1'
_symmetry_Int_Tables_number 8
_symmetry_space_group_name_Hall 'C -2y'
_cell_length_a 8.606
_cell_length_b 8.369
_cell_length_c 7.448
_cell_angle_alpha 90.00
_cell_angle_beta 124.67
_cell_angle_gamma 90.00
loop_
_atom_site_label
_atom_site_fract_x
_atom_site_fract_y
_atom_site_fract_z
_atom_site_occupancy
Ag1 0.000 0.221 0.000 1
Sn1 0.031 0.000 0.536 1
Hg1 0.009 0.500 0.527 1
Te1 0.138 0.500 0.253 1
S1 0.139 0.000 0.293 1
S2 0.140 0.238 0.776 1
```

# 7
This entry pairs a crystal structure of Ag2SnHgTe3S with its calculated PXRD pattern. Radiation: a wavelength of 1.5418 Å. Structure: DFT lattice parameters and positions (GGA-PBE).

Top 6 peaks for 2θ from 15° to 90°, by intensity:
| two_theta | intensity |
| --- | --- |
| 24.02 | 100.0 |
| 24.23 | 53.5 |
| 24.50 | 53.4 |
| 39.83 | 53.4 |
| 40.18 | 49.5 |
| 47.14 | 41.3 |

Structural model:
```
data_Ag2SnHgTe3S
_symmetry_space_group_name_H-M 'C 1 m 1'
_symmetry_Int_Tables_number 8
_symmetry_space_group_name_Hall 'C -2y'
_cell_length_a 8.909
_cell_length_b 9.099
_cell_length_c 7.742
_cell_angle_alpha 90.00
_cell_angle_beta 124.46
_cell_angle_gamma 90.00
loop_
_atom_site_label
_atom_site_fract_x
_atom_site_fract_y
_atom_site_fract_z
_atom_site_occupancy
Ag1 0.000 0.226 0.000 1
Sn1 0.001 0.000 0.465 1
Hg1 0.485 0.000 0.473 1
Te1 0.115 0.500 0.202 1
Te2 0.120 0.244 0.735 1
S1 0.114 0.000 0.236 1
```

# 8
This entry pairs a crystal structure of SiAg2HgTe2Se2 with its calculated PXRD pattern. Radiation: a wavelength of 1.5418 Å. Structure: DFT lattice parameters and positions (GGA-PBE).

Top 6 peaks for 2θ from 15° to 90°, by intensity:
| two_theta | intensity |
| --- | --- |
| 24.97 | 100.0 |
| 25.21 | 99.6 |
| 41.53 | 91.8 |
| 49.00 | 43.4 |
| 33.38 | 36.9 |
| 49.40 | 26.8 |

Structural model:
```
data_SiAg2HgTe2Se2
_symmetry_space_group_name_H-M 'C 1 2 1'
_symmetry_Int_Tables_number 5
_symmetry_space_group_name_Hall 'C 2y'
_cell_length_a 13.664
_cell_length_b 6.158
_cell_length_c 6.137
_cell_angle_alpha 90.00
_cell_angle_beta 115.89
_cell_angle_gamma 90.00
loop_
_atom_site_label
_atom_site_fract_x
_atom_site_fract_y
_atom_site_fract_z
_atom_site_occupancy
Si1 0.000 0.000 0.000 1
Ag1 0.249 0.956 0.789 1
Hg1 0.000 0.501 0.500 1
Te1 0.131 0.755 0.342 1
Se1 0.110 0.201 0.876 1
```